The following is a simulated X-ray diffraction stick pattern of Tb3MgPd12. It was derived from a DFT-relaxed cell (GGA-PBE, Alexandria), using Cu Ka.
Kinematic intensities with the Lorentz-polarization factor, no thermal factor.

Structural model:
```
16
Lattice="4.100 0.000 0.000 0.000 4.100 0.000 0.000 0.000 16.321" Properties=species:S:1:pos:R:3 pbc="T T T"
Tb 0.000 0.000 0.000
Tb 0.000 0.000 4.179
Tb 0.000 0.000 12.142
Mg 0.000 0.000 8.161
Pd 0.000 2.050 2.083
Pd 0.000 2.050 6.255
Pd 0.000 2.050 10.066
Pd 0.000 2.050 14.238
Pd 2.050 0.000 2.083
Pd 2.050 0.000 6.255
Pd 2.050 0.000 10.066
Pd 2.050 0.000 14.238
Pd 2.050 2.050 0.000
Pd 2.050 2.050 4.161
Pd 2.050 2.050 8.161
Pd 2.050 2.050 12.160
```

Principal peaks in the range 2θ = 15–90°, in order of falling intensity:
2.363 Å, I 1000; 2.050 Å, I 333; 1.236 Å, I 246; 1.446 Å, I 198; 2.040 Å, I 153; 1.231 Å, I 113; 1.449 Å, I 107; 1.182 Å, I 102; 2.558 Å, I 30; 3.272 Å, I 20